# 1
Computed powder diffractogram of Ac3Tl3Zn8 for CuKα, from DFT lattice parameters and positions (PBE).

Crystal structure
Cell: 4.710 9.936 14.282 Å, 90.00 90.00 90.00°
Space group Immm (No. 71)
Inequivalent atoms, fractional coordinates:
1 Ac 0.000 0.000 0.000 [2 per cell]
2 Ac 0.000 0.000 0.306 [4 per cell]
3 Tl 0.000 0.225 0.500 [4 per cell]
4 Tl 0.000 0.500 0.000 [2 per cell]
5 Zn 0.000 0.258 0.161 [8 per cell]
6 Zn 0.000 0.372 0.333 [8 per cell]

Peak list (10 most intense, 2θ from 5° to 70°, low angle first)
index	d/Å	2theta	Rel. int.
1 2 1	3.324	26.82	19
1 2 3	2.776	32.24	100
0 3 3	2.719	32.94	13
1 3 2	2.533	35.44	14
0 4 0	2.484	36.16	12
0 0 6	2.380	37.79	20
2 0 0	2.355	38.22	25
2 0 6	1.674	54.84	14
1 6 3	1.484	62.58	13
3 2 3	1.428	65.35	15



# 2
Computed powder diffractogram of PmBiF6 for CuKα, from DFT lattice parameters and positions (PBE).

Crystal structure
Cell: 11.483 6.409 8.329 Å, 90.00 90.05 90.00°
Space group C2/c (No. 15)
Inequivalent atoms, fractional coordinates:
1 Pm 0.000 0.000 0.250 [4 per cell]
2 Bi 0.250 0.250 0.000 [4 per cell]
3 F 0.116 0.040 0.500 [8 per cell]
4 F 0.120 0.282 0.201 [8 per cell]
5 F 0.121 0.280 0.797 [8 per cell]

Peak list (10 most intense, 2θ from 5° to 70°, low angle first)
index	d/Å	2theta	Rel. int.
1 1 0	5.596	15.84	47
1 1 1	4.645	19.11	100
2 0 2	3.371	26.44	62
3 1 -1	3.057	29.21	30
2 2 0	2.798	31.98	39
3 1 -2	2.580	34.78	16
0 2 2	2.540	35.34	16
3 1 3	2.121	42.63	19
4 2 -2	1.902	47.82	39
2 2 4	1.670	54.97	17



# 3
Computed powder diffractogram of NdPa2PbO8 for CuKα, from DFT lattice parameters and positions (PBE).

Crystal structure
Cell: 5.526 5.526 10.912 Å, 90.00 90.00 90.00°
Space group I-4m2 (No. 119)
Inequivalent atoms, fractional coordinates:
1 Nd 0.000 0.000 0.000 [2 per cell]
2 Pa 0.000 0.000 0.500 [2 per cell]
3 Pa 0.000 0.500 0.750 [2 per cell]
4 Pb 0.000 0.500 0.250 [2 per cell]
5 O 0.229 0.251 0.624 [16 per cell]

Peak list (10 most intense, 2θ from 5° to 70°, low angle first)
index	d/Å	2theta	Rel. int.
1 0 1	4.930	17.99	4
1 1 2	3.177	28.09	100
2 0 0	2.763	32.40	24
0 0 4	2.728	32.83	12
2 2 0	1.954	46.48	17
2 0 4	1.941	46.80	34
3 1 2	1.664	55.19	32
1 1 6	1.649	55.75	15
2 2 4	1.588	58.07	10
4 0 0	1.381	67.84	5